For La4Nd11Ho9, the GGA-PBE geometry in Alexandria gives the theoretical PXRD pattern in this record (Cu Ka).
Kinematic intensities with the Lorentz-polarization factor, no thermal factor.

Most intense lines, 2θ from 10° to 80°, in order of rising 2θ:
two_theta	d [Å]	I (rel.)
29.55	3.023	64
30.41	2.939	14
31.77	2.816	100
42.29	2.137	10
48.61	1.873	12
57.92	1.592	15

Atomic structure:
```
La4Nd11Ho9
1.0
8.5452 -12.8247 0.0000
8.5452 12.8247 0.0000
0.0000 0.0000 3.7462
La Nd Ho
4 11 9
direct
0.0541 0.2551 0.0000 La
0.2551 0.0541 0.0000 La
0.7449 0.9459 0.0000 La
0.9459 0.7449 0.0000 La
0.0932 0.4554 0.5000 Nd
0.1352 0.8648 0.5000 Nd
0.2114 0.2114 0.5000 Nd
0.3415 0.6585 0.5000 Nd
0.4554 0.0932 0.5000 Nd
0.5000 0.5000 0.5000 Nd
0.5446 0.9068 0.5000 Nd
0.6585 0.3415 0.5000 Nd
0.7886 0.7886 0.5000 Nd
0.8648 0.1352 0.5000 Nd
0.9068 0.5446 0.5000 Nd
0.0000 0.0000 0.0000 Ho
0.1364 0.6626 0.0000 Ho
0.2898 0.4350 0.0000 Ho
0.3374 0.8636 0.0000 Ho
0.4350 0.2898 0.0000 Ho
0.5650 0.7102 0.0000 Ho
0.6626 0.1364 0.0000 Ho
0.7102 0.5650 0.0000 Ho
0.8636 0.3374 0.0000 Ho
```

=====

For KNaAgO2, the GGA-PBE geometry in Alexandria gives the theoretical PXRD pattern in this record (Cu Ka).
Kinematic intensities with the Lorentz-polarization factor, no thermal factor.

Most intense lines, 2θ from 10° to 80°, in order of rising 2θ:
two_theta	d [Å]	I (rel.)
14.39	6.155	100
15.99	5.544	47
21.57	4.120	64
29.01	3.078	39
35.52	2.528	62
39.89	2.260	60

Atomic structure:
```
KNaAgO2
1.0
2.7029 -6.1552 0.0000
2.7029 6.1552 0.0000
0.0000 0.0000 5.5443
K Na Ag O
2 2 2 4
direct
0.2500 0.7500 0.7658 K
0.7500 0.2500 0.2342 K
0.2500 0.2500 0.0000 Na
0.7500 0.7500 0.0000 Na
0.0000 0.0000 0.5000 Ag
0.5000 0.5000 0.5000 Ag
0.1100 0.8900 0.2303 O
0.3900 0.6100 0.2303 O
0.6100 0.3900 0.7697 O
0.8900 0.1100 0.7697 O
```

=====

For DyH4I3O11, the GGA-PBE geometry in Alexandria gives the theoretical PXRD pattern in this record (Cu Ka).
Kinematic intensities with the Lorentz-polarization factor, no thermal factor.

Most intense lines, 2θ from 10° to 80°, in order of rising 2θ:
two_theta	d [Å]	I (rel.)
12.61	7.021	86
15.18	5.837	91
23.21	3.833	86
25.79	3.454	71
27.72	3.218	71
28.10	3.175	100

Atomic structure:
```
DyH4I3O11
1.0
7.0935 0.0000 0.0000
-2.3537 7.1338 0.0000
-3.1509 -1.8438 10.2631
Dy H I O
2 8 6 22
direct
0.0927 0.4186 0.2865 Dy
0.9073 0.5814 0.7135 Dy
0.1464 0.2546 0.8876 H
0.1975 0.0660 0.8717 H
0.2378 0.1078 0.3636 H
0.2628 0.0939 0.2219 H
0.7372 0.9061 0.7781 H
0.7622 0.8922 0.6364 H
0.8025 0.9340 0.1283 H
0.8536 0.7454 0.1124 H
0.2586 0.7301 0.0550 I
0.2927 0.3622 0.6630 I
0.3062 0.8418 0.5632 I
0.6938 0.1582 0.4368 I
0.7073 0.6378 0.3370 I
0.7414 0.2699 0.9450 I
0.0461 0.6218 0.1230 O
0.0992 0.7941 0.9106 O
0.0988 0.8345 0.6322 O
0.1344 0.7222 0.3964 O
0.2301 0.1699 0.2862 O
0.2482 0.5552 0.7507 O
0.2545 0.2046 0.8751 O
0.2883 0.4692 0.5152 O
0.3589 0.0871 0.5290 O
0.3876 0.9635 0.1572 O
0.4205 0.5654 0.2551 O
0.5795 0.4346 0.7449 O
0.6124 0.0365 0.8428 O
0.6411 0.9129 0.4710 O
0.7117 0.5308 0.4848 O
0.7455 0.7954 0.1249 O
0.7518 0.4448 0.2493 O
0.7699 0.8301 0.7138 O
0.8656 0.2778 0.6036 O
0.9012 0.1655 0.3678 O
0.9008 0.2059 0.0894 O
0.9539 0.3782 0.8770 O
```

=====

For SbTeSe3, the GGA-PBE geometry in Alexandria gives the theoretical PXRD pattern in this record (Cu Ka).
Kinematic intensities with the Lorentz-polarization factor, no thermal factor.

Most intense lines, 2θ from 10° to 80°, in order of rising 2θ:
two_theta	d [Å]	I (rel.)
14.35	6.172	60
26.77	3.330	56
31.06	2.879	65
33.24	2.696	100
36.80	2.442	59
45.64	1.988	63

Atomic structure:
```
SbTeSe3
1.0
6.7288 0.0000 0.0000
0.0000 4.2968 0.0000
-1.9966 0.0000 10.9024
Sb Te Se
2 2 6
direct
0.2452 0.2500 0.0037 Sb
0.7548 0.7500 0.9963 Sb
0.3851 0.2500 0.3504 Te
0.6149 0.7500 0.6496 Te
0.0536 0.7500 0.8584 Se
0.2705 0.7500 0.5215 Se
0.4390 0.7500 0.1682 Se
0.5610 0.2500 0.8318 Se
0.7295 0.2500 0.4785 Se
0.9464 0.2500 0.1416 Se
```

=====

For BaSr3Pb4, the GGA-PBE geometry in Alexandria gives the theoretical PXRD pattern in this record (Cu Ka).
Kinematic intensities with the Lorentz-polarization factor, no thermal factor.

Most intense lines, 2θ from 10° to 80°, in order of rising 2θ:
two_theta	d [Å]	I (rel.)
27.93	3.194	14
29.13	3.066	15
30.05	2.974	49
30.87	2.897	100
53.85	1.702	21
55.97	1.643	15

Atomic structure:
```
BaSr3Pb4
1.0
11.9029 0.0000 0.0000
0.0000 7.8836 0.0000
0.0000 0.0000 6.1321
Ba Sr Pb
2 6 8
direct
0.0000 0.0000 0.0000 Ba
0.5000 0.0000 0.0000 Ba
0.0000 0.5000 0.0000 Sr
0.2500 0.0000 0.4250 Sr
0.2500 0.5000 0.3987 Sr
0.5000 0.5000 0.0000 Sr
0.7500 0.0000 0.5750 Sr
0.7500 0.5000 0.6013 Sr
0.0000 0.2649 0.5000 Pb
0.0000 0.7351 0.5000 Pb
0.2500 0.2684 0.8875 Pb
0.2500 0.7316 0.8875 Pb
0.5000 0.2649 0.5000 Pb
0.5000 0.7351 0.5000 Pb
0.7500 0.2684 0.1125 Pb
0.7500 0.7316 0.1125 Pb
```

=====

For BaLi2Sm2Sn2, the GGA-PBE geometry in Alexandria gives the theoretical PXRD pattern in this record (Cu Ka).
Kinematic intensities with the Lorentz-polarization factor, no thermal factor.

Most intense lines, 2θ from 10° to 80°, in order of rising 2θ:
two_theta	d [Å]	I (rel.)
20.81	4.269	74
29.65	3.013	48
31.95	2.801	100
36.06	2.491	81
48.93	1.861	31
62.27	1.491	30

Atomic structure:
```
BaLi2Sm2Sn2
1.0
2.4909 1.4381 9.8209
-2.4909 1.4381 9.8209
0.0000 -2.8763 9.8209
Ba Li Sm Sn
1 2 2 2
direct
0.0000 0.0000 0.0000 Ba
0.4229 0.4229 0.4229 Li
0.5771 0.5771 0.5771 Li
0.1323 0.1323 0.1323 Sm
0.8677 0.8677 0.8677 Sm
0.2496 0.2496 0.2496 Sn
0.7504 0.7504 0.7504 Sn
```

=====

For CePrCl6, the GGA-PBE geometry in Alexandria gives the theoretical PXRD pattern in this record (Cu Ka).
Kinematic intensities with the Lorentz-polarization factor, no thermal factor.

Most intense lines, 2θ from 10° to 80°, in order of rising 2θ:
two_theta	d [Å]	I (rel.)
14.62	6.060	53
14.81	5.981	100
29.44	3.034	22
33.92	2.643	19
36.25	2.478	30
45.51	1.993	17

Atomic structure:
```
CePrCl6
1.0
3.4670 -6.0596 0.0000
3.4670 6.0596 0.0000
-0.9722 0.0000 7.5236
Ce Pr Cl
1 1 6
direct
0.0000 0.0000 0.0000 Ce
0.0000 0.0000 0.5000 Pr
0.0027 0.2953 0.7680 Cl
0.2953 0.0027 0.7680 Cl
0.2977 0.2977 0.2837 Cl
0.7023 0.7023 0.7163 Cl
0.7047 0.9973 0.2320 Cl
0.9973 0.7047 0.2320 Cl
```

=====

For In3Pb3N5, the GGA-PBE geometry in Alexandria gives the theoretical PXRD pattern in this record (Cu Ka).
Kinematic intensities with the Lorentz-polarization factor, no thermal factor.

Most intense lines, 2θ from 10° to 80°, in order of rising 2θ:
two_theta	d [Å]	I (rel.)
25.31	3.519	44
28.36	3.147	40
30.01	2.978	75
30.67	2.915	100
30.91	2.893	71
31.72	2.821	42

Atomic structure:
```
In3Pb3N5
1.0
6.3121 0.0000 0.0000
0.4373 6.9485 0.0000
0.5457 2.3336 9.6628
In Pb N
6 6 10
direct
0.1368 0.1918 0.4443 In
0.1534 0.4150 0.7514 In
0.2836 0.5386 0.0861 In
0.7164 0.4614 0.9139 In
0.8466 0.5850 0.2486 In
0.8632 0.8082 0.5557 In
0.2167 0.0791 0.0707 Pb
0.2705 0.8564 0.7612 Pb
0.3558 0.6890 0.3919 Pb
0.6442 0.3110 0.6081 Pb
0.7295 0.1436 0.2388 Pb
0.7833 0.9209 0.9293 Pb
0.0415 0.7836 0.0963 N
0.0790 0.3117 0.2241 N
0.2134 0.8780 0.5318 N
0.2791 0.3855 0.5508 N
0.3811 0.5264 0.8681 N
0.6189 0.4736 0.1319 N
0.7209 0.6145 0.4492 N
0.7866 0.1220 0.4682 N
0.9210 0.6883 0.7759 N
0.9585 0.2164 0.9037 N
```

=====

For La2Tb5SmSc, the GGA-PBE geometry in Alexandria gives the theoretical PXRD pattern in this record (Cu Ka).
Kinematic intensities with the Lorentz-polarization factor, no thermal factor.

Most intense lines, 2θ from 10° to 80°, in order of rising 2θ:
two_theta	d [Å]	I (rel.)
26.79	3.328	25
28.16	3.169	16
30.35	2.945	37
31.81	2.813	48
32.35	2.768	100
57.02	1.615	20

Atomic structure:
```
La2Tb5SmSc
1.0
2.8130 -9.9707 0.0000
2.8130 9.9707 0.0000
0.0000 0.0000 10.5289
La Tb Sm Sc
4 10 2 2
direct
0.1147 0.8853 0.5000 La
0.1157 0.8843 0.9205 La
0.8843 0.1157 0.4205 La
0.8853 0.1147 0.0000 La
0.0154 0.9846 0.2040 Tb
0.2763 0.7237 0.5068 Tb
0.2953 0.7047 0.8886 Tb
0.3743 0.6257 0.2047 Tb
0.4839 0.5161 0.9279 Tb
0.5161 0.4839 0.4279 Tb
0.6257 0.3743 0.7047 Tb
0.7047 0.2953 0.3886 Tb
0.7237 0.2763 0.0068 Tb
0.9846 0.0154 0.7040 Tb
0.4098 0.5902 0.6488 Sm
0.5902 0.4098 0.1488 Sm
0.1977 0.8023 0.1994 Sc
0.8023 0.1977 0.6994 Sc
```

=====

For Sr2MgZn6Rh, the GGA-PBE geometry in Alexandria gives the theoretical PXRD pattern in this record (Cu Ka).
Kinematic intensities with the Lorentz-polarization factor, no thermal factor.

Most intense lines, 2θ from 10° to 80°, in order of rising 2θ:
two_theta	d [Å]	I (rel.)
14.93	5.934	78
27.06	3.295	69
31.78	2.816	99
33.84	2.649	100
36.09	2.489	98
42.21	2.141	74

Atomic structure:
```
Sr2MgZn6Rh
1.0
3.2948 1.9022 11.8689
-3.2948 1.9022 11.8689
0.0000 -3.8045 11.8689
Sr Mg Zn Rh
4 2 12 2
direct
0.1048 0.1048 0.1048 Sr
0.2783 0.2783 0.2783 Sr
0.7217 0.7217 0.7217 Sr
0.8952 0.8952 0.8952 Sr
0.4269 0.4269 0.4269 Mg
0.5731 0.5731 0.5731 Mg
0.0667 0.6786 0.6786 Zn
0.2260 0.2260 0.6339 Zn
0.2260 0.6339 0.2260 Zn
0.3214 0.3214 0.9333 Zn
0.3214 0.9333 0.3214 Zn
0.3661 0.7740 0.7740 Zn
0.6339 0.2260 0.2260 Zn
0.6786 0.0667 0.6786 Zn
0.6786 0.6786 0.0667 Zn
0.7740 0.3661 0.7740 Zn
0.7740 0.7740 0.3661 Zn
0.9333 0.3214 0.3214 Zn
0.0000 0.0000 0.0000 Rh
0.5000 0.5000 0.5000 Rh
```

=====

For Y5Mg8Cu5, the GGA-PBE geometry in Alexandria gives the theoretical PXRD pattern in this record (Cu Ka).
Kinematic intensities with the Lorentz-polarization factor, no thermal factor.

Most intense lines, 2θ from 10° to 80°, in order of rising 2θ:
two_theta	d [Å]	I (rel.)
32.74	2.735	50
33.16	2.701	56
34.99	2.564	50
35.42	2.535	42
35.72	2.513	100
46.27	1.962	40

Atomic structure:
```
Y5Mg8Cu5
1.0
26.5607 0.0000 0.0000
0.0000 3.9239 0.0000
0.0000 0.0000 7.5240
Y Mg Cu
10 16 10
direct
0.1051 0.0000 0.0769 Y
0.1493 0.0000 0.5727 Y
0.2500 0.0000 0.1985 Y
0.3507 0.0000 0.5727 Y
0.3949 0.0000 0.0769 Y
0.6051 0.0000 0.9231 Y
0.6493 0.0000 0.4273 Y
0.7500 0.0000 0.8015 Y
0.8507 0.0000 0.4273 Y
0.8949 0.0000 0.9231 Y
0.0000 0.5000 0.0000 Mg
0.0232 0.0000 0.6992 Mg
0.0612 0.5000 0.4040 Mg
0.1898 0.5000 0.9059 Mg
0.2500 0.5000 0.5386 Mg
0.3102 0.5000 0.9059 Mg
0.4388 0.5000 0.4040 Mg
0.4768 0.0000 0.6992 Mg
0.5000 0.5000 0.0000 Mg
0.5232 0.0000 0.3008 Mg
0.5612 0.5000 0.5960 Mg
0.6898 0.5000 0.0941 Mg
0.7500 0.5000 0.4614 Mg
0.8102 0.5000 0.0941 Mg
0.9388 0.5000 0.5960 Mg
0.9768 0.0000 0.3008 Mg
0.0891 0.5000 0.7849 Cu
0.1669 0.5000 0.2826 Cu
0.2500 0.0000 0.7824 Cu
0.3331 0.5000 0.2826 Cu
0.4109 0.5000 0.7849 Cu
0.5891 0.5000 0.2151 Cu
0.6669 0.5000 0.7174 Cu
0.7500 0.0000 0.2176 Cu
0.8331 0.5000 0.7174 Cu
0.9109 0.5000 0.2151 Cu
```